[1]
Diffraction record for Dy3ErN3. The X-ray powder pattern is theoretical, not measured: it uses a structure optimized by DFT (PBE) and CuKα.
Peak positions follow from Bragg's law for the DFT cell and can differ from measured ones.

Lattice parameters (Å, degrees): 7.963 7.963 4.983 90.00 90.00 120.00
Element x y z (fractional)
Dy1 0.165 0.330 0.250
Dy2 0.165 0.835 0.250
Dy3 0.330 0.165 0.750
Dy4 0.670 0.835 0.250
Dy5 0.835 0.165 0.750
Dy6 0.835 0.670 0.750
Er1 0.333 0.667 0.750
Er2 0.667 0.333 0.250
N1 0.166 0.333 0.750
N2 0.166 0.834 0.750
N3 0.333 0.166 0.250
N4 0.667 0.834 0.750
N5 0.834 0.166 0.250
N6 0.834 0.667 0.250

Principal peaks in the range 10 to 90 degrees two-theta, sorted by position:
25.84°, I 36.4
31.55°, I 100.0
36.05°, I 20.2
44.88°, I 16.2
45.57°, I 31.0
56.48°, I 20.0
59.43°, I 27.8
62.01°, I 15.2
75.39°, I 17.3
80.25°, I 7.4

[2]
Diffraction record for Dy4ErN5. The X-ray powder pattern is theoretical, not measured: it uses a structure optimized by DFT (PBE) and CuKα.
Peak positions follow from Bragg's law for the DFT cell and can differ from measured ones.

Lattice parameters (Å, degrees): 6.000 6.000 6.000 99.59 99.59 131.81
Element x y z (fractional)
Dy1 0.100 0.700 0.800
Dy2 0.300 0.100 0.400
Dy3 0.700 0.900 0.600
Dy4 0.900 0.300 0.200
Er1 0.500 0.500 0.000
N1 0.000 0.000 0.000
N2 0.202 0.401 0.602
N3 0.401 0.798 0.199
N4 0.599 0.202 0.801
N5 0.798 0.599 0.398

Principal peaks in the range 10 to 90 degrees two-theta, sorted by position:
31.63°, I 100.0
36.69°, I 71.1
52.86°, I 48.9
62.92°, I 44.6
66.06°, I 16.4
78.02°, I 7.6
86.61°, I 19.2
89.45°, I 22.5

[3]
Diffraction record for Na4DyEr3Se8. The X-ray powder pattern is theoretical, not measured: it uses a structure optimized by DFT (PBE) and CuKα.
Peak positions follow from Bragg's law for the DFT cell and can differ from measured ones.

Lattice parameters (Å, degrees): 8.468 8.468 8.468 58.23 58.23 58.23
Element x y z (fractional)
Na1 0.000 0.000 0.000
Na2 0.000 0.500 0.500
Na3 0.500 0.000 0.500
Na4 0.500 0.500 0.000
Dy1 0.500 0.500 0.500
Er1 0.000 0.000 0.500
Er2 0.000 0.500 0.000
Er3 0.500 0.000 0.000
Se1 0.241 0.744 0.744
Se2 0.242 0.242 0.242
Se3 0.256 0.256 0.759
Se4 0.256 0.759 0.256
Se5 0.744 0.241 0.744
Se6 0.744 0.744 0.241
Se7 0.758 0.758 0.758
Se8 0.759 0.256 0.256

Principal peaks in the range 10 to 90 degrees two-theta, sorted by position:
12.64°, I 55.8
25.32°, I 22.7
30.28°, I 100.0
39.22°, I 15.0
42.74°, I 36.9
43.95°, I 36.2
45.92°, I 14.0
54.30°, I 19.0
70.59°, I 15.1
72.34°, I 16.0

[4]
Diffraction record for Nd2Dy9Er3. The X-ray powder pattern is theoretical, not measured: it uses a structure optimized by DFT (PBE) and CuKα.
Peak positions follow from Bragg's law for the DFT cell and can differ from measured ones.

Lattice parameters (Å, degrees): 6.144 9.418 9.494 106.71 102.70 108.87
Element x y z (fractional)
Nd1 0.000 0.000 0.000
Nd2 0.194 0.396 0.000
Dy1 0.038 0.537 0.337
Dy2 0.149 0.870 0.661
Dy3 0.245 0.935 0.333
Dy4 0.356 0.270 0.664
Dy5 0.550 0.671 0.665
Dy6 0.601 0.210 0.999
Dy7 0.645 0.740 0.335
Dy8 0.842 0.138 0.336
Dy9 0.956 0.474 0.668
Er1 0.441 0.338 0.336
Er2 0.754 0.069 0.662
Er3 0.791 0.598 0.999

Principal peaks in the range 10 to 90 degrees two-theta, sorted by position:
29.18°, I 20.9
29.89°, I 19.7
31.45°, I 52.7
32.26°, I 100.0
33.83°, I 31.7
34.04°, I 60.2
38.21°, I 16.3
55.33°, I 13.6
61.31°, I 15.7
61.63°, I 23.2